This entry pairs a crystal structure of Li4FeTe2WO12 with its theoretical powder X-ray diffraction pattern. Radiation: Cu Kα X-rays. Structure: a cell relaxed with PBE+U.

Largest 6 diffraction maxima, sorted by position, 2θ from 5° to 70°:
d 3.769, intensity 100, hkl 0 0 2; d 2.735, intensity 39, hkl 0 2 0; d 2.603, intensity 17, hkl 2 0 0; d 2.140, intensity 15, hkl 0 2 2; d 1.886, intensity 12, hkl 2 -2 0; d 1.721, intensity 23, hkl 1 1 -4

abc: 5.207 5.489 7.546
angles: 94.24 90.11 90.08
Space group P1 (No. 1)
Asymmetric unit:
Li 0.000 0.000 0.000 (multiplicity 1)
Li 0.002 0.016 0.453 (multiplicity 1)
Li 0.499 0.542 0.993 (multiplicity 1)
Li 0.513 0.576 0.436 (multiplicity 1)
Fe 0.004 0.584 0.190 (multiplicity 1)
Te 0.004 0.585 0.690 (multiplicity 1)
Te 0.507 0.097 0.193 (multiplicity 1)
W 0.505 0.096 0.694 (multiplicity 1)
O 0.124 0.614 0.937 (multiplicity 1)
O 0.192 0.272 0.617 (multiplicity 1)
O 0.201 0.921 0.241 (multiplicity 1)
O 0.330 0.794 0.620 (multiplicity 1)
O 0.333 0.407 0.238 (multiplicity 1)
O 0.374 0.099 0.933 (multiplicity 1)
O 0.632 0.113 0.442 (multiplicity 1)
O 0.665 0.418 0.749 (multiplicity 1)
O 0.695 0.806 0.124 (multiplicity 1)
O 0.797 0.284 0.118 (multiplicity 1)
O 0.815 0.935 0.750 (multiplicity 1)
O 0.887 0.625 0.442 (multiplicity 1)